# BaCu2GeS4
Simulated X-ray diffraction stick pattern, λ = 1.5418 Å (Cu Kα). Input: DFT lattice parameters and positions (GGA-PBE).

Largest 12 diffraction maxima, in order of rising 2θ, 2θ = 10–80°:
2theta  I_rel  h k l
16.3  23.1  1 0 0
23.7  31.3  0 1 3
28.2  100.0  0 1 4
28.4  93.6  1 1 0
33.0  25.7  2 0 0
33.2  37.6  0 1 5
37.4  42.6  2 0 3
40.5  37.6  2 0 4
49.8  34.6  1 0 8
50.2  31.9  1 2 4
50.7  23.5  3 0 1
53.4  24.0  1 2 5

Structure:
Cell lengths 6.2770, 6.2770, 15.5580 Å; angles 90.00, 90.00, 120.00 degrees
Space group P3_121 (No. 152)
Inequivalent atoms, fractional coordinates:
Ba 0.0000 0.5681 0.1667 [3 per cell]
Cu 0.0691 0.6457 0.4110 [6 per cell]
Ge 0.0000 0.7108 0.6667 [3 per cell]
S 0.0470 0.5149 0.7810 [6 per cell]
S 0.0953 0.3323 0.3350 [6 per cell]

# VRu3
Simulated X-ray diffraction stick pattern, λ = 1.5418 Å (Cu Kα). Input: DFT lattice parameters and positions (GGA-PBE).

Largest 12 diffraction maxima, in order of rising 2θ, 2θ = 10–80°:
2theta  I_rel  h k l
10.2  15.1  0 0 1
20.5  3.4  0 0 2
31.0  1.3  0 0 3
38.1  26.2  1 0 0
39.6  3.9  1 0 1
41.8  25.2  0 0 4
43.7  100.0  1 0 2
49.9  2.0  1 0 3
57.8  15.1  1 0 4
67.1  0.9  1 0 5
68.9  16.3  1 1 0
77.6  17.4  1 0 6

Structure:
Cell lengths 2.7258, 2.7258, 8.6522 Å; angles 90.00, 90.00, 120.00 degrees
Space group P-6m2 (No. 187)
Inequivalent atoms, fractional coordinates:
V 0.0000 0.0000 0.0000 [1 per cell]
Ru 0.0000 0.0000 0.5000 [1 per cell]
Ru 0.3333 0.6667 0.2496 [2 per cell]

# Ba4Ge20Pt3
Simulated X-ray diffraction stick pattern, λ = 1.5418 Å (Cu Kα). Input: DFT lattice parameters and positions (GGA-PBE).

Largest 12 diffraction maxima, in order of rising 2θ, 2θ = 10–80°:
2theta  I_rel  h k l
18.2  19.3  2 1 0
28.4  40.5  2 2 2
29.6  8.3  3 2 0
30.7  100.0  3 2 1
32.9  19.1  4 0 0
33.9  9.7  4 1 0
47.2  8.9  4 4 0
48.7  33.0  5 3 0
50.2  21.5  6 0 0
51.7  42.0  5 3 2
62.7  9.1  5 5 2
67.7  10.5  6 5 1

Structure:
Cell lengths 10.8958, 10.8958, 10.8958 Å; angles 90.00, 90.00, 90.00 degrees
Space group Pm-3n (No. 223)
Inequivalent atoms, fractional coordinates:
Ba 0.0000 0.0000 0.0000 [2 per cell]
Ba 0.0000 0.2500 0.5000 [6 per cell]
Ge 0.0000 0.3155 0.1200 [24 per cell]
Ge 0.1833 0.1833 0.1833 [16 per cell]
Pt 0.0000 0.5000 0.2500 [6 per cell]

# Li9Ti5Si2O16
Simulated X-ray diffraction stick pattern, λ = 1.5418 Å (Cu Kα). Input: DFT lattice parameters and positions (GGA-PBE).

Largest 12 diffraction maxima, in order of rising 2θ, 2θ = 10–80°:
2theta  I_rel  h k l
18.1  100.0  0 1 1
36.5  20.2  2 0 0
36.6  10.5  1 0 4
43.8  32.6  1 2 -2
43.9  64.5  -2 1 1
62.7  8.8  2 3 3
62.9  8.6  1 -3 1
63.1  8.6  -1 2 6
64.6  8.1  3 1 -3
64.7  8.4  3 0 4
64.8  7.7  0 1 -7
67.8  5.6  3 -1 3

Structure:
Cell lengths 5.0022, 5.1768, 11.2039 Å; angles 80.06, 85.73, 80.48 degrees
Space group P-1 (No. 2)
Inequivalent atoms, fractional coordinates:
Li 0.0000 0.0000 0.0000 [1 per cell]
Li 0.2467 0.9374 0.5600 [2 per cell]
Li 0.2480 0.4285 0.0582 [2 per cell]
Li 0.2518 0.1761 0.3097 [2 per cell]
Li 0.2516 0.6833 0.8199 [2 per cell]
Ti 0.9998 0.2504 0.7531 [2 per cell]
Ti 0.0000 0.5000 0.5000 [1 per cell]
Ti 0.4978 0.3852 0.6170 [2 per cell]
Si 0.4988 0.8812 0.1175 [2 per cell]
O 0.1204 0.5884 0.6598 [2 per cell]
O 0.1210 0.8375 0.4022 [2 per cell]
O 0.1650 0.0566 0.1541 [2 per cell]
O 0.1655 0.3169 0.8998 [2 per cell]
O 0.3715 0.2727 0.4656 [2 per cell]
O 0.3808 0.0466 0.7413 [2 per cell]
O 0.3814 0.5794 0.2049 [2 per cell]
O 0.3980 0.8220 0.9738 [2 per cell]

# SrBeSi
Simulated X-ray diffraction stick pattern, λ = 1.5418 Å (Cu Kα). Input: DFT lattice parameters and positions (GGA-PBE).

Largest 12 diffraction maxima, in order of rising 2θ, 2θ = 10–80°:
2theta  I_rel  h k l
19.3  12.8  0 0 1
25.5  41.5  1 0 0
32.2  100.0  1 0 1
39.1  12.6  0 0 2
45.0  25.0  1 1 0
47.3  15.8  1 0 2
49.4  7.6  1 1 1
52.5  5.8  2 0 0
56.4  19.5  2 0 1
61.1  19.9  1 1 2
66.6  11.8  1 0 3
74.9  17.0  2 1 1

Structure:
Cell lengths 4.0284, 4.0284, 4.6023 Å; angles 90.00, 90.00, 120.00 degrees
Space group P-6m2 (No. 187)
Inequivalent atoms, fractional coordinates:
Sr 0.0000 0.0000 0.0000 [1 per cell]
Be 0.3333 0.6667 0.5000 [1 per cell]
Si 0.6667 0.3333 0.5000 [1 per cell]

# PHSF2
Simulated X-ray diffraction stick pattern, λ = 1.5418 Å (Cu Kα). Input: DFT lattice parameters and positions (GGA-PBE).

Largest 12 diffraction maxima, in order of rising 2θ, 2θ = 10–80°:
2theta  I_rel  h k l
19.1  27.5  2 0 0
21.5  41.5  1 0 -2
21.9  50.5  1 1 0
22.3  45.7  0 1 1
24.0  100.0  1 0 2
24.9  30.8  1 1 1
27.6  18.8  2 1 0
28.5  41.0  2 1 -1
28.7  25.6  0 1 2
31.3  24.3  1 1 2
33.0  28.5  2 1 -2
36.4  36.7  2 1 2

Structure:
Cell lengths 9.4033, 4.5041, 8.6749 Å; angles 90.00, 98.13, 90.00 degrees
Space group P2_1/c (No. 14)
Inequivalent atoms, fractional coordinates:
P 0.2281 0.0419 0.4166 [4 per cell]
H 0.2638 0.6694 0.0357 [4 per cell]
S 0.3752 0.2490 0.8353 [4 per cell]
F 0.1133 0.2403 0.4854 [4 per cell]
F 0.1221 0.6435 0.7952 [4 per cell]

# K2Ta2O5
Simulated X-ray diffraction stick pattern, λ = 1.5418 Å (Cu Kα). Input: DFT lattice parameters and positions (GGA-PBE).

Largest 12 diffraction maxima, in order of rising 2θ, 2θ = 10–80°:
2theta  I_rel  h k l
21.9  70.5  0 1 1
22.1  30.7  4 0 0
31.0  28.1  0 0 2
31.2  26.9  0 2 0
31.3  100.0  4 1 1
44.6  29.9  0 2 2
50.3  21.3  0 3 1
50.7  16.0  8 1 1
55.4  20.1  4 1 3
55.5  18.8  4 3 1
55.8  20.7  8 0 2
65.3  18.5  8 2 2

Structure:
Cell lengths 16.0641, 5.7413, 5.7630 Å; angles 90.00, 90.00, 90.00 degrees
Space group Ima2 (No. 46)
Inequivalent atoms, fractional coordinates:
K 0.1206 0.0034 0.0000 [8 per cell]
Ta 0.0000 0.0000 0.4993 [4 per cell]
Ta 0.2500 0.5216 0.0037 [4 per cell]
O 0.0018 0.7492 0.7485 [8 per cell]
O 0.1275 0.0094 0.5002 [8 per cell]
O 0.2500 0.7439 0.2594 [4 per cell]